Record 1
Structure and simulated powder diffraction line list of Cu2Te2PbCl2O6 (the GGA-PBE geometry in the Materials Project; Cu Kα, 1.54184 Å).
Lines closer than 0.1° are merged.

The 10 most intense peaks (10 to 90 degrees two-theta), by angle:
2θ/deg  d [Å]  I (rel.)  hkl
16.07  5.515  68  0 1 1
24.52  3.631  79  0 1 2
26.52  3.361  70  0 2 1
27.33  3.263  98  2 1 0
28.37  3.146  100  2 1 -1
28.50  3.132  85  1 1 2
30.38  2.942  89  2 1 1
33.15  2.703  68  1 0 -3
33.91  2.643  57  1 2 -2
48.58  1.874  49  3 1 -3

Cell and atoms:
Lattice parameters (Å, degrees): 7.3295 7.3423 8.4046 90.00 96.33 90.00
Space group P2_1 (No. 4)
Symmetry-distinct sites (fractional):
Cu 0.1381 0.0000 0.4118 (multiplicity 2)
Cu 0.1809 0.4821 0.9125 (multiplicity 2)
Te 0.1466 0.8613 0.7333 (multiplicity 2)
Te 0.3722 0.1321 0.1120 (multiplicity 2)
Pb 0.3736 0.4906 0.4390 (multiplicity 2)
Cl 0.0508 0.7663 0.1214 (multiplicity 2)
Cl 0.3920 0.2488 0.7283 (multiplicity 2)
O 0.0371 0.4396 0.4365 (multiplicity 2)
O 0.0398 0.6196 0.7422 (multiplicity 2)
O 0.2959 0.8356 0.5579 (multiplicity 2)
O 0.3085 0.3818 0.1084 (multiplicity 2)
O 0.3543 0.1158 0.3369 (multiplicity 2)
O 0.3683 0.6728 0.8763 (multiplicity 2)



Record 2
Structure and simulated powder diffraction line list of Dy2Ge6Pd (the GGA-PBE geometry in the Materials Project; Cu Kα, 1.54184 Å).
Lines closer than 0.1° are merged.

The 10 most intense peaks (10 to 90 degrees two-theta), by angle:
2θ/deg  d [Å]  I (rel.)  hkl
32.85  2.726  24  1 0 6
33.32  2.689  100  1 1 3
37.26  2.413  14  1 1 5
42.57  2.124  16  1 1 7
43.31  2.089  19  0 1 9
44.16  2.051  23  2 0 0
44.41  2.040  23  0 2 0
56.30  1.634  15  1 2 6
63.57  1.464  12  2 1 9
64.42  1.446  15  2 2 0

Cell and atoms:
Lattice parameters (Å, degrees): 4.1016 4.0799 21.8918 90.00 90.00 90.00
Space group Amm2 (No. 38)
Symmetry-distinct sites (fractional):
Dy 0.0000 0.0000 0.0000 (multiplicity 2)
Dy 0.0000 0.0000 0.3370 (multiplicity 2)
Ge 0.0000 0.0000 0.6006 (multiplicity 2)
Ge 0.0000 0.0000 0.7146 (multiplicity 2)
Ge 0.5000 0.0000 0.0996 (multiplicity 2)
Ge 0.5000 0.0000 0.2137 (multiplicity 2)
Ge 0.5000 0.0000 0.4604 (multiplicity 2)
Ge 0.5000 0.0000 0.8905 (multiplicity 2)
Pd 0.5000 0.0000 0.7801 (multiplicity 2)



Record 3
Structure and simulated powder diffraction line list of CsRb2SbF6 (the GGA-PBE geometry in the Materials Project; Cu Kα, 1.54184 Å).
Lines closer than 0.1° are merged.

The 10 most intense peaks (10 to 90 degrees two-theta), by angle:
2θ/deg  d [Å]  I (rel.)  hkl
17.68  5.016  11  2 0 0
25.11  3.547  100  2 2 0
35.80  2.508  37  4 0 0
44.23  2.048  41  4 2 2
51.54  1.773  23  4 4 0
58.16  1.586  21  6 2 0
64.34  1.448  7  4 4 4
70.21  1.341  23  6 4 2
81.40  1.182  11  6 6 0
86.84  1.122  9  8 4 0

Cell and atoms:
Lattice parameters (Å, degrees): 10.0316 10.0316 10.0316 90.00 90.00 90.00
Space group Fm-3m (No. 225)
Symmetry-distinct sites (fractional):
Cs 0.0000 0.0000 0.0000 (multiplicity 4)
Rb 0.2500 0.2500 0.2500 (multiplicity 8)
Sb 0.0000 0.0000 0.5000 (multiplicity 4)
F 0.0000 0.0000 0.2804 (multiplicity 24)



Record 4
Structure and simulated powder diffraction line list of Mg14GaNi (the GGA-PBE geometry in the Materials Project; Cu Kα, 1.54184 Å).
Lines closer than 0.1° are merged.

The 10 most intense peaks (10 to 90 degrees two-theta), by angle:
2θ/deg  d [Å]  I (rel.)  hkl
16.48  5.380  18  1 0 0
24.24  3.672  11  1 0 2
33.31  2.690  26  2 0 0
35.75  2.511  26  0 0 4
37.94  2.371  100  2 0 2
49.66  1.836  16  2 0 4
59.52  1.553  17  2 2 0
65.69  1.421  18  2 0 6
71.41  1.321  18  2 2 4
72.79  1.299  13  4 0 2

Cell and atoms:
Lattice parameters (Å, degrees): 6.2124 6.2124 10.0458 90.00 90.00 120.00
Space group P-6m2 (No. 187)
Symmetry-distinct sites (fractional):
Mg 0.0000 0.0000 0.2503 (multiplicity 2)
Mg 0.0108 0.5054 0.2434 (multiplicity 6)
Mg 0.3303 0.1652 0.0000 (multiplicity 3)
Mg 0.3341 0.1670 0.5000 (multiplicity 3)
Ga 0.3333 0.6667 0.5000 (multiplicity 1)
Ni 0.3333 0.6667 0.0000 (multiplicity 1)



Record 5
Structure and simulated powder diffraction line list of Rb2Li14Pb3O14 (the GGA-PBE geometry in the Materials Project; Cu Kα, 1.54184 Å).
Lines closer than 0.1° are merged.

The 10 most intense peaks (10 to 90 degrees two-theta), by angle:
2θ/deg  d [Å]  I (rel.)  hkl
16.24  5.457  100  1 1 0
21.95  4.050  42  0 2 0
23.74  3.747  16  1 0 3
27.37  3.258  35  0 0 4
31.97  2.800  24  1 1 4
33.71  2.659  28  2 1 3
35.35  2.539  52  0 2 4
38.22  2.355  21  3 1 0
45.30  2.002  18  1 3 4
56.45  1.630  15  0 0 8

Cell and atoms:
Lattice parameters (Å, degrees): 7.3841 8.0990 13.0477 90.00 90.00 90.00
Space group Immm (No. 71)
Symmetry-distinct sites (fractional):
Rb 0.2346 0.0000 0.0000 (multiplicity 4)
Li 0.0000 0.1457 0.2304 (multiplicity 8)
Li 0.0000 0.1580 0.5000 (multiplicity 4)
Li 0.2283 0.1564 0.3651 (multiplicity 16)
Pb 0.0000 0.5000 0.0000 (multiplicity 2)
Pb 0.0000 0.5000 0.2716 (multiplicity 4)
O 0.0000 0.2819 0.3707 (multiplicity 8)
O 0.0000 0.3133 0.1271 (multiplicity 8)
O 0.2051 0.0000 0.5000 (multiplicity 4)
O 0.2083 0.0000 0.2491 (multiplicity 8)



Record 6
Structure and simulated powder diffraction line list of VCrCo (the GGA-PBE geometry in the Materials Project; Cu Kα, 1.54184 Å).
Lines closer than 0.1° are merged.

The 10 most intense peaks (10 to 90 degrees two-theta), by angle:
2θ/deg  d [Å]  I (rel.)  hkl
39.00  2.310  28  0 1 3
41.53  2.174  65  3 1 1
41.69  2.166  38  3 0 2
45.29  2.002  57  2 2 0
45.74  1.984  100  2 1 3
46.52  1.952  92  1 2 2
46.93  1.936  36  4 0 0
47.11  1.929  39  1 0 4
51.05  1.789  24  2 2 2
77.73  1.229  30  5 2 2

Cell and atoms:
Lattice parameters (Å, degrees): 7.7442 4.6783 7.9677 90.00 90.00 90.00
Space group Amm2 (No. 38)
Symmetry-distinct sites (fractional):
V 0.1840 0.0000 0.0000 (multiplicity 4)
V 0.3094 0.0000 0.6693 (multiplicity 4)
Cr 0.0000 0.0000 0.4998 (multiplicity 2)
Cr 0.5000 0.0000 0.1588 (multiplicity 2)
Cr 0.5000 0.2434 0.9174 (multiplicity 4)
Co 0.0000 0.2456 0.7387 (multiplicity 4)
Co 0.2441 0.0000 0.3306 (multiplicity 4)



> What is the formula in the first record?

Cu2Te2PbCl2O6